CePm2HoEr: theoretical powder diffractogram (copper Kα), based on the PBE geometry in Alexandria.
Lines closer than 0.1° are merged.

Structural model:
Lattice parameters (Å, degrees): 6.049 6.776 8.527 78.31 71.45 88.45
Fractional positions:
Ce: 0.000 0.000 0.000
Ce: 0.000 0.500 0.000
Pm: 0.280 0.304 0.603
Pm: 0.307 0.626 0.222
Pm: 0.693 0.374 0.778
Pm: 0.720 0.696 0.397
Ho: 0.443 0.131 0.193
Ho: 0.557 0.869 0.807
Er: 0.142 0.816 0.598
Er: 0.858 0.184 0.402

Principal peaks in the range 2θ = 5–70°, sorted by position:
| index | d [Å] | 2θ (°) | I (rel.) |
| --- | --- | --- | --- |
| 2 0 1 | 3.020 | 29.58 | 36 |
| 0 2 -1 | 2.857 | 31.31 | 100 |
| 1 2 2 | 2.772 | 32.30 | 46 |
| 1 0 3 | 2.754 | 32.51 | 85 |
| 2 -1 1 | 2.712 | 33.03 | 16 |
| 2 1 0 | 2.592 | 34.60 | 12 |
| 2 2 0 | 2.126 | 42.53 | 13 |
| 2 -2 2 | 2.028 | 44.68 | 11 |
| 0 2 4 | 1.876 | 48.53 | 15 |
| 1 2 -3 | 1.670 | 54.98 | 12 |